This entry pairs a crystal structure of Pm2YBr5 with its computed powder diffractogram. Radiation: Cu Ka. Structure: a cell relaxed with GGA-PBE.
No peak broadening, texture or thermal motion is included.

Principal peaks in the range 2θ from 10° to 90°, sorted by position:
- 14.23 deg, d = 6.222 Å, intensity 100.0, hkl 1 0 1
- 15.39 deg, d = 5.756 Å, intensity 43.7, hkl 2 1 0
- 25.02 deg, d = 3.558 Å, intensity 43.3, hkl 0 0 2
- 26.95 deg, d = 3.308 Å, intensity 73.9, hkl 1 1 2
- 28.75 deg, d = 3.105 Å, intensity 87.7, hkl 2 0 2
- 33.57 deg, d = 2.670 Å, intensity 53.1, hkl 4 2 1
- 35.10 deg, d = 2.556 Å, intensity 44.5, hkl 1 5 0
- 36.70 deg, d = 2.448 Å, intensity 52.8, hkl 0 5 1
- 37.45 deg, d = 2.401 Å, intensity 45.8, hkl 0 4 2
- 43.35 deg, d = 2.087 Å, intensity 41.9, hkl 4 3 2

```
data_Pm2YBr5
_chemical_formula_sum 'Pm8 Y4 Br20'
_symmetry_space_group_name_H-M 'P n n m'
_symmetry_Int_Tables_number 58
_cell_length_a 12.8278
_cell_length_b 13.0430
_cell_length_c 7.0976
_cell_angle_alpha 90.00
_cell_angle_beta 90.00
_cell_angle_gamma 90.00
loop_
_symmetry_equiv_pos_as_xyz
'x,y,z'
'-x,-y,-z'
'-x,-y,z'
'x,y,-z'
'x+1/2,-y+1/2,-z+1/2'
'-x+1/2,y+1/2,z+1/2'
'-x+1/2,y+1/2,-z+1/2'
'x+1/2,-y+1/2,z+1/2'
loop_
_atom_site_label
_atom_site_fract_x
_atom_site_fract_y
_atom_site_fract_z
Pm1 0.0000 0.0000 0.2469
Pm2 0.1024 0.4007 0.5000
Y1 0.2117 0.3016 0.0000
Br1 0.0654 0.2196 0.2533
Br2 0.1414 0.6306 0.5000
Br3 0.1632 0.9047 0.0000
Br4 0.1882 0.9906 0.5000
```